For Pm3Cu2RhO9, a cell relaxed with PBE gives the computed X-ray diffraction stick pattern in this record (Cu Kα, 1.54184 Å).
Kinematic intensities with the Lorentz-polarization factor, no thermal factor.

The 6 most intense peaks (15° ≤ 2θ ≤ 90°), low angle first:
2.801 Å, intensity 99; 2.721 Å, intensity 100; 1.952 Å, intensity 59; 1.586 Å, intensity 38; 1.571 Å, intensity 19; 1.360 Å, intensity 18

Cell lengths 5.4414, 5.4414, 6.9668 Å; angles 90.00, 90.00, 120.00 degrees
Space group P-3m1 (No. 164)
Asymmetric unit:
Pm  0.0000  0.0000  0.0000 (multiplicity 1)
Pm  0.3333  0.6667  0.7215 (multiplicity 2)
Cu  0.3333  0.6667  0.1718 (multiplicity 2)
Rh  0.0000  0.0000  0.5000 (multiplicity 1)
O  0.0000  0.5000  0.0000 (multiplicity 3)
O  0.1575  0.3150  0.3097 (multiplicity 6)

For PmCu2SeO8, a cell relaxed with PBE gives the computed X-ray diffraction stick pattern in this record (Cu Kα, 1.54184 Å).
Kinematic intensities with the Lorentz-polarization factor, no thermal factor.

The 6 most intense peaks (15° ≤ 2θ ≤ 90°), low angle first:
4.676 Å, intensity 19; 3.449 Å, intensity 100; 2.664 Å, intensity 68; 2.439 Å, intensity 20; 1.799 Å, intensity 61; 1.448 Å, intensity 19

Cell lengths 6.8984, 6.8984, 6.3606 Å; angles 90.00, 90.00, 90.00 degrees
Space group I-4m2 (No. 119)
Asymmetric unit:
Pm  0.0000  0.0000  0.0000 (multiplicity 2)
Cu  0.0000  0.0000  0.5000 (multiplicity 2)
Cu  0.0000  0.5000  0.7500 (multiplicity 2)
Se  0.0000  0.5000  0.2500 (multiplicity 2)
O  0.0000  0.2089  0.3074 (multiplicity 8)
O  0.0000  0.3373  0.9712 (multiplicity 8)

For Sr2PmCu3O6, a cell relaxed with PBE gives the computed X-ray diffraction stick pattern in this record (Cu Kα, 1.54184 Å).
Kinematic intensities with the Lorentz-polarization factor, no thermal factor.

The 6 most intense peaks (15° ≤ 2θ ≤ 90°), low angle first:
2.741 Å, intensity 100; 2.716 Å, intensity 56; 2.332 Å, intensity 18; 1.921 Å, intensity 31; 1.588 Å, intensity 15; 1.573 Å, intensity 37

Cell lengths 3.8412, 3.8412, 11.7412 Å; angles 90.00, 90.00, 90.00 degrees
Space group P4/mmm (No. 123)
Asymmetric unit:
Sr  0.0000  0.0000  0.1957 (multiplicity 2)
Pm  0.0000  0.0000  0.5000 (multiplicity 1)
Cu  0.5000  0.5000  0.0000 (multiplicity 1)
Cu  0.5000  0.5000  0.3503 (multiplicity 2)
O  0.0000  0.5000  0.3688 (multiplicity 4)
O  0.5000  0.5000  0.1549 (multiplicity 2)

For Pr6Cu2O, a cell relaxed with PBE gives the computed X-ray diffraction stick pattern in this record (Cu Kα, 1.54184 Å).
Kinematic intensities with the Lorentz-polarization factor, no thermal factor.

The 6 most intense peaks (15° ≤ 2θ ≤ 90°), low angle first:
3.048 Å, intensity 59; 3.010 Å, intensity 84; 2.986 Å, intensity 57; 2.940 Å, intensity 100; 2.904 Å, intensity 46; 2.867 Å, intensity 47

Cell lengths 6.6251, 7.2089, 11.9933 Å; angles 90.00, 122.06, 90.00 degrees
Space group P2_1/c (No. 14)
Asymmetric unit:
Pr  0.1022  0.0296  0.2423 (multiplicity 4)
Pr  0.2310  0.6973  0.0625 (multiplicity 4)
Pr  0.3754  0.1864  0.0582 (multiplicity 4)
Cu  0.3195  0.0994  0.7539 (multiplicity 4)
O  0.0000  0.0000  0.0000 (multiplicity 2)